1.
# LaPr5DyY2
Calculated powder XRD pattern, Cu Kα, 1.54184 Å. Input: the PBE geometry in Alexandria.
No peak broadening, texture or thermal motion is included.

Most intense lines, 2θ from 10° to 90°, low angle first:
Position (°2θ)  d [Å]  Rel. int.
26.40  3.376  62
28.13  3.172  39
31.38  2.851  100
34.45  2.603  15
39.42  2.286  18
49.82  1.830  21

Structure:
```
LaPr5DyY2
1.0
-4.774 4.774 7.109
4.774 -4.774 7.109
4.774 4.774 -7.109
La Pr Dy Y
2 10 2 4
Direct
0.250 0.250 0.000
0.750 0.750 0.000
0.000 0.000 0.000
0.070 0.570 0.905
0.165 0.070 0.500
0.335 0.835 0.905
0.430 0.335 0.500
0.500 0.500 0.000
0.570 0.665 0.500
0.665 0.165 0.095
0.835 0.930 0.500
0.930 0.430 0.095
0.250 0.750 0.500
0.750 0.250 0.500
0.108 0.392 0.500
0.392 0.892 0.283
0.608 0.108 0.717
0.892 0.608 0.500
```

***

2.
# LaDy2Pt
Calculated powder XRD pattern, Cu Kα, 1.54184 Å. Input: the PBE geometry in Alexandria.
No peak broadening, texture or thermal motion is included.

Most intense lines, 2θ from 10° to 90°, low angle first:
Position (°2θ)  d [Å]  Rel. int.
29.72  3.007  49
31.13  2.873  100
33.19  2.699  65
33.82  2.650  70
35.09  2.558  52
37.33  2.409  54

Structure:
```
LaDy2Pt
1.0
7.195 0.000 0.000
0.000 9.727 0.000
0.000 0.000 6.620
La Dy Pt
4 8 4
Direct
0.025 0.250 0.136
0.475 0.750 0.636
0.525 0.250 0.364
0.975 0.750 0.864
0.176 0.063 0.671
0.176 0.437 0.671
0.324 0.563 0.171
0.324 0.937 0.171
0.676 0.063 0.829
0.676 0.437 0.829
0.824 0.563 0.329
0.824 0.937 0.329
0.117 0.750 0.427
0.383 0.250 0.927
0.617 0.750 0.073
0.883 0.250 0.573
```

***

3.
# LaDyPt10
Calculated powder XRD pattern, Cu Kα, 1.54184 Å. Input: the PBE geometry in Alexandria.
No peak broadening, texture or thermal motion is included.

Most intense lines, 2θ from 10° to 90°, low angle first:
Position (°2θ)  d [Å]  Rel. int.
18.96  4.680  32
38.43  2.342  19
39.00  2.309  100
40.56  2.224  35
43.67  2.073  36
57.14  1.612  18

Structure:
```
LaDyPt10
1.0
4.448 0.000 0.000
0.000 5.415 0.000
0.000 0.000 9.341
La Dy Pt
1 1 10
Direct
0.000 0.000 0.000
0.000 0.500 0.500
0.000 0.000 0.337
0.000 0.000 0.663
0.000 0.500 0.172
0.000 0.500 0.828
0.500 0.000 0.500
0.500 0.252 0.253
0.500 0.252 0.747
0.500 0.500 0.000
0.500 0.748 0.253
0.500 0.748 0.747
```

***

4.
# Rb2LaDyTe4
Calculated powder XRD pattern, Cu Kα, 1.54184 Å. Input: the PBE geometry in Alexandria.
No peak broadening, texture or thermal motion is included.

Most intense lines, 2θ from 10° to 90°, low angle first:
Position (°2θ)  d [Å]  Rel. int.
10.35  8.548  23
26.19  3.403  100
35.85  2.505  34
38.85  2.318  38
47.46  1.916  19
62.94  1.477  16

Structure:
```
Rb2LaDyTe4
1.0
8.033 0.000 0.000
0.000 4.635 0.000
-2.671 0.000 8.548
Rb La Dy Te
2 1 1 4
Direct
0.000 0.000 0.000
0.500 0.500 0.000
0.000 0.500 0.500
0.500 0.000 0.500
0.245 0.000 0.705
0.276 0.500 0.300
0.724 0.500 0.700
0.755 0.000 0.295
```